# NdTeBrO3
Simulated powder XRD pattern, Cu Kα (weighted mean of Kα1 and Kα2). Input: a cell relaxed with PBE.

Most intense lines, 5 to 70 degrees two-theta, by angle:
2θ/deg, I (rel.)
6.17, 9
9.26, 28
29.46, 100
32.25, 39
36.34, 7
37.69, 8
44.42, 5
46.25, 22
50.42, 18
55.79, 33
61.13, 8
67.47, 7

Cell and atoms:
abc: 3.926 3.926 28.640
angles: 90.00 90.00 90.00
Atoms (fractional coordinates):
1 Nd 0.250 0.250 0.043
2 Nd 0.250 0.250 0.709
3 Nd 0.750 0.750 0.291
4 Nd 0.750 0.750 0.957
5 Te 0.250 0.250 0.211
6 Te 0.250 0.250 0.380
7 Te 0.750 0.750 0.620
8 Te 0.750 0.750 0.789
9 Br 0.250 0.250 0.558
10 Br 0.250 0.250 0.898
11 Br 0.750 0.750 0.102
12 Br 0.750 0.750 0.442
13 O 0.250 0.250 0.281
14 O 0.250 0.750 0.000
15 O 0.250 0.750 0.229
16 O 0.250 0.750 0.348
17 O 0.250 0.750 0.652
18 O 0.250 0.750 0.771
19 O 0.750 0.250 0.000
20 O 0.750 0.250 0.229
21 O 0.750 0.250 0.348
22 O 0.750 0.250 0.652
23 O 0.750 0.250 0.771
24 O 0.750 0.750 0.719

---

# NdTe2BrO5
Simulated powder XRD pattern, Cu Kα (weighted mean of Kα1 and Kα2). Input: a cell relaxed with PBE.

Most intense lines, 5 to 70 degrees two-theta, by angle:
2θ/deg, I (rel.)
9.28, 14
24.93, 4
29.83, 100
32.88, 35
37.77, 12
43.78, 7
47.19, 21
50.93, 21
56.83, 32
61.96, 11
63.35, 8
68.95, 7

Cell and atoms:
abc: 10.278 10.278 10.278
angles: 149.26 149.26 44.02
Atoms (fractional coordinates):
1 Nd 0.250 0.750 0.500
2 Nd 0.750 0.250 0.500
3 Te 0.107 0.107 0.000
4 Te 0.371 0.371 0.000
5 Te 0.629 0.629 0.000
6 Te 0.893 0.893 0.000
7 Br 0.000 0.500 0.500
8 Br 0.500 0.000 0.500
9 O 0.075 0.075 0.466
10 O 0.075 0.609 0.000
11 O 0.269 0.269 0.000
12 O 0.391 0.391 0.466
13 O 0.391 0.925 0.000
14 O 0.609 0.075 0.000
15 O 0.609 0.609 0.534
16 O 0.731 0.731 0.000
17 O 0.925 0.391 0.000
18 O 0.925 0.925 0.534

---

# Nd8P3Se4Br
Simulated powder XRD pattern, Cu Kα (weighted mean of Kα1 and Kα2). Input: a cell relaxed with PBE.

Most intense lines, 5 to 70 degrees two-theta, by angle:
2θ/deg, I (rel.)
24.75, 3
25.87, 30
29.95, 100
32.71, 6
39.22, 4
42.87, 72
50.75, 13
53.09, 6
53.21, 19
59.47, 3
59.54, 2
62.24, 11

Cell and atoms:
abc: 8.444 8.444 8.444
angles: 59.89 59.89 59.89
Atoms (fractional coordinates):
1 Nd 0.225 0.757 0.757
2 Nd 0.243 0.243 0.243
3 Nd 0.243 0.243 0.775
4 Nd 0.243 0.775 0.243
5 Nd 0.757 0.225 0.757
6 Nd 0.757 0.757 0.225
7 Nd 0.757 0.757 0.757
8 Nd 0.775 0.243 0.243
9 P 0.000 0.000 0.500
10 P 0.000 0.500 0.000
11 P 0.500 0.000 0.000
12 Se 0.000 0.000 0.000
13 Se 0.000 0.500 0.500
14 Se 0.500 0.000 0.500
15 Se 0.500 0.500 0.000
16 Br 0.500 0.500 0.500

---

# Nd6P3Se2Br
Simulated powder XRD pattern, Cu Kα (weighted mean of Kα1 and Kα2). Input: a cell relaxed with PBE.

Most intense lines, 5 to 70 degrees two-theta, by angle:
2θ/deg, I (rel.)
25.23, 8
26.08, 28
29.96, 100
32.59, 9
42.34, 34
43.41, 37
50.87, 8
51.81, 5
53.64, 19
59.22, 7
62.25, 11
69.83, 12

Cell and atoms:
abc: 9.506 9.506 8.546
angles: 104.87 104.87 25.33
Atoms (fractional coordinates):
1 Nd 0.005 0.005 0.224
2 Nd 0.323 0.323 0.426
3 Nd 0.337 0.337 0.905
4 Nd 0.663 0.663 0.095
5 Nd 0.677 0.677 0.574
6 Nd 0.995 0.995 0.776
7 P 0.165 0.165 0.333
8 P 0.500 0.500 0.000
9 P 0.835 0.835 0.667
10 Se 0.165 0.165 0.829
11 Se 0.835 0.835 0.171
12 Br 0.500 0.500 0.500